Theoretical X-ray powder pattern
Compound: CsHfMg14O15
Radiation: λ = 1.5418 Å (Cu Kα)
Structure: a crystal structure in the Materials Project, relaxed with PBE
Intensities are scaled so that the largest is 100.

Cell and atoms:
a = 4.1299 Å, b = 8.3781 Å, c = 11.5341 Å
α = 90.00°, β = 90.00°, γ = 90.00°
Positions (direct):
1 Cs 0.0000 0.0000 0.0000
2 Hf 0.0000 0.5000 0.1000
3 Mg 0.0000 0.0000 0.5453
4 Mg 0.0000 0.2463 0.7348
5 Mg 0.0000 0.2467 0.3515
6 Mg 0.0000 0.5000 0.5360
7 Mg 0.0000 0.7533 0.3515
8 Mg 0.0000 0.7537 0.7348
9 Mg 0.5000 0.0000 0.3486
10 Mg 0.5000 0.0000 0.7295
11 Mg 0.5000 0.2323 0.1739
12 Mg 0.5000 0.2567 0.5500
13 Mg 0.5000 0.5000 0.3534
14 Mg 0.5000 0.5000 0.8050
15 Mg 0.5000 0.7433 0.5500
16 Mg 0.5000 0.7677 0.1739
17 O 0.0000 0.0000 0.3711
18 O 0.0000 0.0000 0.7384
19 O 0.0000 0.2543 0.5540
20 O 0.0000 0.2769 0.1587
21 O 0.0000 0.5000 0.3574
22 O 0.0000 0.7231 0.1587
23 O 0.0000 0.7457 0.5540
24 O 0.5000 0.0000 0.1656
25 O 0.5000 0.0000 0.5527
26 O 0.5000 0.2507 0.3522
27 O 0.5000 0.2545 0.7475
28 O 0.5000 0.5000 0.1502
29 O 0.5000 0.5000 0.5382
30 O 0.5000 0.7455 0.7475
31 O 0.5000 0.7493 0.3522

Largest 12 diffraction maxima, in order of falling intensity, 2θ from 15° to 90°:
| Position (°2θ) | d_spacing | I_rel |
| --- | --- | --- |
| 34.2 | 2.620 | 100 |
| 43.8 | 2.065 | 90 |
| 22.6 | 3.937 | 89 |
| 43.2 | 2.095 | 88 |
| 31.4 | 2.850 | 74 |
| 15.4 | 5.767 | 73 |
| 22.9 | 3.888 | 72 |
| 25.5 | 3.494 | 68 |
| 26.5 | 3.358 | 62 |
| 28.6 | 3.117 | 61 |
| 26.3 | 3.389 | 61 |
| 32.8 | 2.727 | 54 |



Theoretical X-ray powder pattern
Compound: Sm3SbO7
Radiation: λ = 1.5418 Å (Cu Kα)
Structure: a crystal structure in the Materials Project, relaxed with PBE
Intensities are scaled so that the largest is 100.

Cell and atoms:
a = 6.6191 Å, b = 6.6191 Å, c = 7.6792 Å
α = 90.00°, β = 90.00°, γ = 109.54°
Positions (direct):
1 Sm 0.0057 0.0057 0.0000
2 Sm 0.0322 0.4994 0.2492
3 Sm 0.4994 0.0322 0.7508
4 Sm 0.5006 0.9678 0.2508
5 Sm 0.9678 0.5006 0.7492
6 Sm 0.9943 0.9943 0.5000
7 Sb 0.4985 0.4985 0.5000
8 Sb 0.5015 0.5015 0.0000
9 O 0.1294 0.8706 0.7500
10 O 0.1360 0.8640 0.2500
11 O 0.1819 0.4299 0.5273
12 O 0.1838 0.4295 0.9709
13 O 0.4295 0.1838 0.0291
14 O 0.4299 0.1819 0.4727
15 O 0.4345 0.5655 0.2500
16 O 0.5655 0.4345 0.7500
17 O 0.5701 0.8181 0.9727
18 O 0.5705 0.8162 0.5291
19 O 0.8162 0.5705 0.4709
20 O 0.8181 0.5701 0.0273
21 O 0.8640 0.1360 0.7500
22 O 0.8706 0.1294 0.2500

Largest 12 diffraction maxima, in order of falling intensity, 2θ from 15° to 90°:
| Position (°2θ) | d_spacing | I_rel |
| --- | --- | --- |
| 28.6 | 3.119 | 100 |
| 28.5 | 3.131 | 98 |
| 33.1 | 2.706 | 67 |
| 47.5 | 1.913 | 58 |
| 56.4 | 1.630 | 51 |
| 56.3 | 1.635 | 30 |
| 47.4 | 1.920 | 17 |
| 79.2 | 1.210 | 15 |
| 47.6 | 1.909 | 14 |
| 76.7 | 1.242 | 10 |
| 88.7 | 1.103 | 10 |
| 59.3 | 1.559 | 9 |



Theoretical X-ray powder pattern
Compound: Na2ErPCO7
Radiation: λ = 1.5418 Å (Cu Kα)
Structure: a crystal structure in the Materials Project, relaxed with PBE
Intensities are scaled so that the largest is 100.

Cell and atoms:
a = 5.3318 Å, b = 6.9525 Å, c = 9.2072 Å
α = 90.00°, β = 91.12°, γ = 90.00°
Positions (direct):
1 Na 0.2340 0.0045 0.2228
2 Na 0.2340 0.4955 0.2228
3 Na 0.7660 0.5045 0.7772
4 Na 0.7660 0.9955 0.7772
5 Er 0.2277 0.2500 0.6407
6 Er 0.7723 0.7500 0.3593
7 P 0.2912 0.7500 0.5817
8 P 0.7088 0.2500 0.4183
9 C 0.2686 0.2500 0.9332
10 C 0.7314 0.7500 0.0668
11 O 0.0487 0.2500 0.8648
12 O 0.1850 0.7500 0.4208
13 O 0.2024 0.5673 0.6604
14 O 0.2024 0.9327 0.6604
15 O 0.2921 0.2500 0.0690
16 O 0.4160 0.2500 0.4261
17 O 0.4650 0.2500 0.8453
18 O 0.5350 0.7500 0.1547
19 O 0.5840 0.7500 0.5739
20 O 0.7079 0.7500 0.9310
21 O 0.7976 0.0673 0.3396
22 O 0.7976 0.4327 0.3396
23 O 0.8150 0.2500 0.5792
24 O 0.9513 0.7500 0.1352

Largest 12 diffraction maxima, in order of falling intensity, 2θ from 15° to 90°:
| Position (°2θ) | d_spacing | I_rel |
| --- | --- | --- |
| 16.0 | 5.548 | 100 |
| 21.0 | 4.230 | 79 |
| 25.8 | 3.451 | 56 |
| 25.6 | 3.476 | 54 |
| 25.3 | 3.518 | 38 |
| 32.3 | 2.769 | 37 |
| 33.6 | 2.665 | 36 |
| 19.1 | 4.653 | 34 |
| 32.1 | 2.785 | 33 |
| 35.9 | 2.502 | 28 |
| 52.2 | 1.754 | 25 |
| 47.4 | 1.919 | 25 |



Theoretical X-ray powder pattern
Compound: Pr3Pb
Radiation: λ = 1.5418 Å (Cu Kα)
Structure: a crystal structure in the Materials Project, relaxed with PBE
Intensities are scaled so that the largest is 100.

Cell and atoms:
a = 5.0455 Å, b = 5.0455 Å, c = 5.0455 Å
α = 90.00°, β = 90.00°, γ = 90.00°
Positions (direct):
1 Pr 0.0000 0.0000 0.5000
2 Pr 0.0000 0.5000 0.0000
3 Pr 0.5000 0.0000 0.0000
4 Pb 0.5000 0.5000 0.5000

Largest 12 diffraction maxima, in order of falling intensity, 2θ from 15° to 90°:
| Position (°2θ) | d_spacing | I_rel |
| --- | --- | --- |
| 30.7 | 2.913 | 100 |
| 35.6 | 2.523 | 51 |
| 60.9 | 1.521 | 43 |
| 51.2 | 1.784 | 36 |
| 83.5 | 1.158 | 18 |
| 86.2 | 1.128 | 17 |
| 63.9 | 1.457 | 12 |
| 75.3 | 1.261 | 6 |
| 17.6 | 5.045 | 2 |
| 25.0 | 3.568 | 2 |
| 40.0 | 2.256 | 2 |
| 44.0 | 2.060 | 1 |



Theoretical X-ray powder pattern
Compound: CeTh4O10
Radiation: λ = 1.5418 Å (Cu Kα)
Structure: a crystal structure in the Materials Project, relaxed with PBE
Intensities are scaled so that the largest is 100.

Cell and atoms:
a = 14.2477 Å, b = 14.2477 Å, c = 14.2477 Å
α = 164.05°, β = 164.05°, γ = 22.63°
Positions (direct):
1 Ce 0.0000 0.0000 0.0000
2 Th 0.1996 0.1996 0.0000
3 Th 0.4013 0.4013 0.0000
4 Th 0.5987 0.5987 0.0000
5 Th 0.8004 0.8004 0.0000
6 O 0.0487 0.5487 0.5000
7 O 0.1493 0.6493 0.5000
8 O 0.2500 0.7500 0.5000
9 O 0.3507 0.8507 0.5000
10 O 0.4513 0.9513 0.5000
11 O 0.5487 0.0487 0.5000
12 O 0.6493 0.1493 0.5000
13 O 0.7500 0.2500 0.5000
14 O 0.8507 0.3507 0.5000
15 O 0.9513 0.4513 0.5000

Largest 12 diffraction maxima, in order of falling intensity, 2θ from 15° to 90°:
| Position (°2θ) | d_spacing | I_rel |
| --- | --- | --- |
| 27.6 | 3.228 | 100 |
| 45.9 | 1.976 | 51 |
| 54.4 | 1.686 | 47 |
| 32.0 | 2.795 | 36 |
| 73.9 | 1.283 | 19 |
| 85.0 | 1.141 | 17 |
| 57.1 | 1.614 | 10 |
| 76.1 | 1.250 | 10 |
| 67.0 | 1.398 | 8 |
| 76.2 | 1.250 | 5 |
| 24.5 | 3.639 | 1 |
| 22.7 | 3.915 | 1 |



Theoretical X-ray powder pattern
Compound: ZrTiCu
Radiation: λ = 1.5418 Å (Cu Kα)
Structure: a crystal structure in the Materials Project, relaxed with PBE
Intensities are scaled so that the largest is 100.

Cell and atoms:
a = 5.8842 Å, b = 5.8842 Å, c = 5.8842 Å
α = 149.52°, β = 149.52°, γ = 43.64°
Positions (direct):
1 Zr 0.0000 0.0000 0.0000
2 Ti 0.3145 0.3145 0.0000
3 Cu 0.6797 0.6797 0.0000

Largest 12 diffraction maxima, in order of falling intensity, 2θ from 15° to 90°:
| Position (°2θ) | d_spacing | I_rel |
| --- | --- | --- |
| 38.2 | 2.358 | 100 |
| 41.3 | 2.187 | 42 |
| 73.2 | 1.293 | 26 |
| 66.9 | 1.399 | 15 |
| 59.8 | 1.547 | 13 |
| 30.0 | 2.976 | 11 |
| 50.1 | 1.821 | 10 |
| 81.7 | 1.179 | 8 |
| 32.8 | 2.731 | 6 |
| 86.0 | 1.130 | 6 |
| 53.7 | 1.707 | 6 |
| 67.2 | 1.393 | 5 |



Theoretical X-ray powder pattern
Compound: SmYAl2
Radiation: λ = 1.5418 Å (Cu Kα)
Structure: a crystal structure in the Materials Project, relaxed with PBE
Intensities are scaled so that the largest is 100.

Cell and atoms:
a = 5.1535 Å, b = 5.1535 Å, c = 5.1535 Å
α = 60.00°, β = 60.00°, γ = 60.00°
Positions (direct):
1 Sm 0.0000 0.0000 0.0000
2 Y 0.5000 0.5000 0.5000
3 Al 0.2500 0.2500 0.2500
4 Al 0.7500 0.7500 0.7500

Largest 12 diffraction maxima, in order of falling intensity, 2θ from 15° to 90°:
| Position (°2θ) | d_spacing | I_rel |
| --- | --- | --- |
| 34.8 | 2.577 | 100 |
| 24.4 | 3.644 | 50 |
| 62.4 | 1.488 | 36 |
| 56.5 | 1.630 | 20 |
| 50.1 | 1.822 | 18 |
| 84.0 | 1.152 | 16 |
| 43.0 | 2.104 | 15 |
| 73.5 | 1.288 | 11 |
| 78.8 | 1.215 | 9 |
| 21.1 | 4.208 | 9 |
| 89.1 | 1.099 | 6 |
| 41.1 | 2.197 | 5 |



Theoretical X-ray powder pattern
Compound: RbMnCl3
Radiation: λ = 1.5418 Å (Cu Kα)
Structure: a crystal structure in the Materials Project, relaxed with PBE
Intensities are scaled so that the largest is 100.

Cell and atoms:
a = 7.2336 Å, b = 7.2336 Å, c = 17.9743 Å
α = 90.00°, β = 90.00°, γ = 120.00°
Positions (direct):
1 Rb 0.0000 0.0000 0.2500
2 Rb 0.0000 0.0000 0.7500
3 Rb 0.3333 0.6667 0.0833
4 Rb 0.3333 0.6667 0.4167
5 Rb 0.6667 0.3333 0.5833
6 Rb 0.6667 0.3333 0.9167
7 Mn 0.0000 0.0000 0.0000
8 Mn 0.0000 0.0000 0.5000
9 Mn 0.3333 0.6667 0.6614
10 Mn 0.3333 0.6667 0.8386
11 Mn 0.6667 0.3333 0.1614
12 Mn 0.6667 0.3333 0.3386
13 Cl 0.0166 0.5083 0.7500
14 Cl 0.1655 0.3311 0.5822
15 Cl 0.1655 0.3311 0.9178
16 Cl 0.1655 0.8345 0.5822
17 Cl 0.1655 0.8345 0.9178
18 Cl 0.3311 0.1655 0.0822
19 Cl 0.3311 0.1655 0.4178
20 Cl 0.4917 0.5083 0.7500
21 Cl 0.4917 0.9834 0.7500
22 Cl 0.5083 0.0166 0.2500
23 Cl 0.5083 0.4917 0.2500
24 Cl 0.6689 0.8345 0.5822
25 Cl 0.6689 0.8345 0.9178
26 Cl 0.8345 0.1655 0.0822
27 Cl 0.8345 0.1655 0.4178
28 Cl 0.8345 0.6689 0.0822
29 Cl 0.8345 0.6689 0.4178
30 Cl 0.9834 0.4917 0.2500

Largest 12 diffraction maxima, in order of falling intensity, 2θ from 15° to 90°:
| Position (°2θ) | d_spacing | I_rel |
| --- | --- | --- |
| 34.9 | 2.570 | 100 |
| 32.2 | 2.776 | 94 |
| 24.6 | 3.617 | 90 |
| 50.5 | 1.808 | 62 |
| 24.4 | 3.651 | 49 |
| 30.2 | 2.958 | 47 |
| 38.1 | 2.362 | 38 |
| 29.8 | 2.996 | 32 |
| 50.0 | 1.826 | 31 |
| 83.9 | 1.154 | 26 |
| 54.5 | 1.684 | 23 |
| 43.2 | 2.095 | 22 |



Theoretical X-ray powder pattern
Compound: ZrV2
Radiation: λ = 1.5418 Å (Cu Kα)
Structure: a crystal structure in the Materials Project, relaxed with PBE
Intensities are scaled so that the largest is 100.

Cell and atoms:
a = 5.2082 Å, b = 5.2082 Å, c = 8.4571 Å
α = 90.00°, β = 90.00°, γ = 120.00°
Positions (direct):
1 Zr 0.3333 0.6667 0.0641
2 Zr 0.3333 0.6667 0.4359
3 Zr 0.6667 0.3333 0.5641
4 Zr 0.6667 0.3333 0.9359
5 V 0.0000 0.0000 0.0000
6 V 0.0000 0.0000 0.5000
7 V 0.1688 0.3377 0.7500
8 V 0.1688 0.8312 0.7500
9 V 0.3377 0.1688 0.2500
10 V 0.6623 0.8312 0.7500
11 V 0.8312 0.1688 0.2500
12 V 0.8312 0.6623 0.2500

Largest 12 diffraction maxima, in order of falling intensity, 2θ from 15° to 90°:
| Position (°2θ) | d_spacing | I_rel |
| --- | --- | --- |
| 40.7 | 2.217 | 100 |
| 37.6 | 2.391 | 92 |
| 41.4 | 2.179 | 67 |
| 34.4 | 2.604 | 53 |
| 63.8 | 1.459 | 35 |
| 69.5 | 1.353 | 27 |
| 72.6 | 1.302 | 23 |
| 65.9 | 1.417 | 22 |
| 84.8 | 1.143 | 16 |
| 40.0 | 2.255 | 14 |
| 42.8 | 2.114 | 10 |
| 61.7 | 1.503 | 9 |